Entry 1:
Calculated powder diffraction line list
Compound: Sn2SeBrCl
Radiation: CuKα
Structure: a cell relaxed with GGA-PBE
Intensities are scaled so that the largest is 100.

Principal peaks in the range 10 to 80 degrees two-theta, low angle first:
2theta, d (Å), I (rel.)
12.75, 6.943, 71
19.68, 4.511, 32
25.12, 3.545, 100
30.12, 2.967, 32
32.83, 2.728, 26
33.75, 2.656, 29
36.01, 2.494, 28
37.22, 2.416, 27
39.86, 2.262, 28
41.84, 2.159, 32

Atomic structure:
Lattice parameters (Å, degrees): 7.179 6.943 7.275 90.00 110.41 90.00
Space group P2/c (No. 13)
One atom of each set of equivalent atoms:
1 Sn 0.247 0.196 0.059 [4 per cell]
2 Se 0.000 0.023 0.250 [2 per cell]
3 Br 0.500 0.169 0.750 [2 per cell]
4 Cl 0.000 0.500 0.000 [2 per cell]



Entry 2:
Calculated powder diffraction line list
Compound: SiBr2Cl
Radiation: CuKα
Structure: a cell relaxed with GGA-PBE
Intensities are scaled so that the largest is 100.

Principal peaks in the range 10 to 80 degrees two-theta, low angle first:
2theta, d (Å), I (rel.)
14.94, 5.929, 100
24.97, 3.566, 34
25.08, 3.551, 36
26.52, 3.360, 36
28.09, 3.177, 37
33.17, 2.701, 16
33.93, 2.642, 23
37.59, 2.393, 32
42.37, 2.133, 28
43.60, 2.076, 22

Atomic structure:
Lattice parameters (Å, degrees): 13.442 3.298 7.147 90.00 118.32 90.00
Space group Cm (No. 8)
One atom of each set of equivalent atoms:
1 Si 0.000 0.000 0.000 [2 per cell]
2 Br 0.002 0.500 0.279 [2 per cell]
3 Br 0.356 0.000 0.731 [2 per cell]
4 Cl 0.133 0.500 0.991 [2 per cell]



Entry 3:
Calculated powder diffraction line list
Compound: SiBrCl3
Radiation: CuKα
Structure: a cell relaxed with GGA-PBE
Intensities are scaled so that the largest is 100.

Principal peaks in the range 10 to 80 degrees two-theta, low angle first:
2theta, d (Å), I (rel.)
15.83, 5.597, 76
16.22, 5.464, 28
16.44, 5.391, 100
22.90, 3.883, 70
23.28, 3.821, 58
25.12, 3.545, 55
27.44, 3.250, 70
37.26, 2.413, 26
43.65, 2.073, 33
49.31, 1.848, 21

Atomic structure:
Lattice parameters (Å, degrees): 6.116 10.783 6.925 90.00 113.78 90.00
Space group P2_1/m (No. 11)
One atom of each set of equivalent atoms:
1 Si 0.075 0.250 0.271 [2 per cell]
2 Br 0.026 0.250 0.569 [2 per cell]
3 Cl 0.250 0.750 0.978 [2 per cell]
4 Cl 0.260 0.096 0.255 [4 per cell]



Entry 4:
Calculated powder diffraction line list
Compound: SiBrCl
Radiation: CuKα
Structure: a cell relaxed with GGA-PBE
Intensities are scaled so that the largest is 100.

Principal peaks in the range 10 to 80 degrees two-theta, low angle first:
2theta, d (Å), I (rel.)
11.34, 7.802, 35
13.36, 6.628, 88
20.95, 4.240, 24
22.80, 3.901, 66
23.46, 3.792, 61
24.32, 3.661, 42
25.58, 3.482, 100
28.56, 3.125, 56
30.79, 2.904, 27
33.58, 2.669, 87

Atomic structure:
Lattice parameters (Å, degrees): 7.614 15.604 4.047 90.00 105.94 90.00
Space group Cc (No. 9)
One atom of each set of equivalent atoms:
1 Si 0.000 0.041 0.000 [4 per cell]
2 Br 0.252 0.376 0.371 [4 per cell]
3 Cl 0.233 0.116 0.120 [4 per cell]



Entry 5:
Calculated powder diffraction line list
Compound: SmBrCl2
Radiation: CuKα
Structure: a cell relaxed with GGA-PBE
Intensities are scaled so that the largest is 100.

Principal peaks in the range 10 to 80 degrees two-theta, low angle first:
2theta, d (Å), I (rel.)
14.76, 6.001, 100
15.56, 5.697, 16
20.34, 4.365, 49
24.17, 3.682, 12
27.54, 3.239, 31
32.23, 2.777, 51
36.29, 2.476, 19
40.65, 2.219, 15
41.36, 2.183, 23
44.39, 2.041, 15

Atomic structure:
Lattice parameters (Å, degrees): 7.890 11.968 7.256 90.00 118.41 90.00
Space group Cc (No. 9)
One atom of each set of equivalent atoms:
1 Sm 0.000 0.092 0.000 [4 per cell]
2 Br 0.273 0.418 0.714 [4 per cell]
3 Cl 0.207 0.065 0.792 [4 per cell]
4 Cl 0.254 0.251 0.240 [4 per cell]



Entry 6:
Calculated powder diffraction line list
Compound: Sm4TcBr2Cl
Radiation: CuKα
Structure: a cell relaxed with GGA-PBE
Intensities are scaled so that the largest is 100.

Principal peaks in the range 10 to 80 degrees two-theta, low angle first:
2theta, d (Å), I (rel.)
11.87, 7.456, 13
28.08, 3.178, 11
29.06, 3.072, 45
30.26, 2.953, 100
36.91, 2.435, 25
41.78, 2.162, 28
43.12, 2.098, 32
49.06, 1.857, 14
58.04, 1.589, 13
71.75, 1.316, 12

Atomic structure:
Lattice parameters (Å, degrees): 7.658 3.714 8.039 90.00 103.21 90.00
Space group P2/m (No. 10)
One atom of each set of equivalent atoms:
1 Sm 0.226 0.000 0.219 [2 per cell]
2 Sm 0.226 0.500 0.796 [2 per cell]
3 Tc 0.000 0.500 0.000 [1 per cell]
4 Br 0.000 0.000 0.500 [1 per cell]
5 Br 0.500 0.500 0.500 [1 per cell]
6 Cl 0.500 0.000 0.000 [1 per cell]